Entry 1:
Starting from a crystal structure in OQMD, relaxed with PBE, the PXRD pattern of LaGd5Mg6Ag6 was computed for Cu Kα (weighted mean of Kα1 and Kα2).
No peak broadening, texture or thermal motion is included.

Principal peaks in the range 2θ from 15° to 90°, sorted by position:
d (Å), two_theta, I_rel
3.848, 23.11, 33
3.333, 26.75, 23
2.852, 31.37, 80
2.622, 34.20, 100
2.222, 40.61, 27
2.167, 41.69, 24
2.124, 42.57, 23
1.695, 54.11, 24

Atomic structure:
Cell: 4.2470 13.3222 7.7013 Å, 90.00 90.00 90.00°
Fractional coordinates of all 18 atoms:
1 La 0.0000 0.0000 0.0000
2 Gd 0.0000 0.2095 0.3790
3 Gd 0.0000 0.2946 0.8744
4 Gd 0.0000 0.5000 0.4977
5 Gd 0.0000 0.7054 0.8744
6 Gd 0.0000 0.7905 0.3790
7 Mg 0.5000 0.0000 0.3456
8 Mg 0.5000 0.1242 0.7020
9 Mg 0.5000 0.3799 0.2059
10 Mg 0.5000 0.5000 0.8405
11 Mg 0.5000 0.6201 0.2059
12 Mg 0.5000 0.8758 0.7020
13 Ag 0.0000 0.0000 0.5797
14 Ag 0.0000 0.5000 0.0835
15 Ag 0.5000 0.1729 0.0874
16 Ag 0.5000 0.3350 0.5836
17 Ag 0.5000 0.6650 0.5836
18 Ag 0.5000 0.8271 0.0874

***

Entry 2:
Starting from a crystal structure in OQMD, relaxed with PBE, the PXRD pattern of LaGd2Mg3Ag3 was computed for Cu Kα (weighted mean of Kα1 and Kα2).
No peak broadening, texture or thermal motion is included.

Principal peaks in the range 2θ from 15° to 90°, sorted by position:
d (Å), two_theta, I_rel
3.877, 22.94, 33
3.358, 26.55, 23
2.870, 31.16, 79
2.640, 33.96, 100
2.239, 40.29, 28
2.182, 41.38, 25
2.135, 42.33, 23
1.707, 53.69, 23

Atomic structure:
Cell: 4.2700 13.4332 7.7538 Å, 90.00 90.00 90.00°
Fractional coordinates of all 18 atoms:
1 La 0.0000 0.2094 0.0000
2 La 0.0000 0.7906 0.0000
3 Gd 0.0000 0.0000 0.6243
4 Gd 0.0000 0.2944 0.5016
5 Gd 0.0000 0.5000 0.1227
6 Gd 0.0000 0.7056 0.5016
7 Mg 0.5000 0.0000 0.9645
8 Mg 0.5000 0.1209 0.3339
9 Mg 0.5000 0.3813 0.8262
10 Mg 0.5000 0.5000 0.4662
11 Mg 0.5000 0.6187 0.8262
12 Mg 0.5000 0.8791 0.3339
13 Ag 0.0000 0.0000 0.2131
14 Ag 0.0000 0.5000 0.7088
15 Ag 0.5000 0.1664 0.6992
16 Ag 0.5000 0.3377 0.2146
17 Ag 0.5000 0.6623 0.2146
18 Ag 0.5000 0.8336 0.6992

***

Entry 3:
Starting from a crystal structure in OQMD, relaxed with PBE, the PXRD pattern of LaGd2Mg3Ag3 was computed for Cu Kα (weighted mean of Kα1 and Kα2).
No peak broadening, texture or thermal motion is included.

Principal peaks in the range 2θ from 15° to 90°, sorted by position:
d (Å), two_theta, I_rel
3.879, 22.93, 33
3.359, 26.54, 23
2.874, 31.12, 79
2.642, 33.93, 100
2.539, 35.35, 22
2.240, 40.27, 27
2.184, 41.35, 25
2.140, 42.24, 23

Atomic structure:
Cell: 7.7685 4.2793 13.4183 Å, 90.00 90.02 90.00°
Fractional coordinates of all 18 atoms:
1 La 0.0000 0.0000 0.0000
2 La 0.1251 0.0000 0.2966
3 Gd 0.5045 0.0000 0.0857
4 Gd 0.5045 0.0000 0.5025
5 Gd 0.6235 0.0000 0.7907
6 Gd 0.9987 0.0000 0.5865
7 Mg 0.3320 0.5000 0.6724
8 Mg 0.3346 0.5000 0.9118
9 Mg 0.4708 0.5000 0.2958
10 Mg 0.8235 0.5000 0.1733
11 Mg 0.8265 0.5000 0.4185
12 Mg 0.9652 0.5000 0.7892
13 Ag 0.2107 0.0000 0.7900
14 Ag 0.2123 0.5000 0.4673
15 Ag 0.2204 0.5000 0.1257
16 Ag 0.7007 0.5000 0.9575
17 Ag 0.7045 0.0000 0.2947
18 Ag 0.7075 0.5000 0.6273

***

Entry 4:
Starting from a crystal structure in OQMD, relaxed with PBE, the PXRD pattern of LaGd2Mg3Ag3 was computed for Cu Kα (weighted mean of Kα1 and Kα2).
No peak broadening, texture or thermal motion is included.

Principal peaks in the range 2θ from 15° to 90°, sorted by position:
d (Å), two_theta, I_rel
3.881, 22.92, 33
3.361, 26.52, 23
2.874, 31.12, 79
2.643, 33.92, 100
2.240, 40.25, 27
2.184, 41.33, 25
2.139, 42.25, 23
1.709, 53.63, 23

Atomic structure:
Cell: 7.7614 4.2781 13.4421 Å, 90.00 90.09 90.00°
Fractional coordinates of all 18 atoms:
1 La 0.0000 0.0000 0.0000
2 La 0.3764 0.0000 0.2129
3 Gd 0.3775 0.0000 0.7916
4 Gd 0.4962 0.0000 0.5058
5 Gd 0.8732 0.0000 0.2990
6 Gd 0.8733 0.0000 0.7077
7 Mg 0.2012 0.5000 0.3862
8 Mg 0.2041 0.5000 0.6236
9 Mg 0.3449 0.5000 0.9982
10 Mg 0.7020 0.5000 0.8769
11 Mg 0.7047 0.5000 0.1249
12 Mg 0.8397 0.5000 0.5051
13 Ag 0.0766 0.5000 0.1745
14 Ag 0.0823 0.0000 0.5038
15 Ag 0.0852 0.5000 0.8288
16 Ag 0.5808 0.0000 0.9988
17 Ag 0.5820 0.5000 0.6685
18 Ag 0.5884 0.5000 0.3426

***

Entry 5:
Starting from a crystal structure in OQMD, relaxed with PBE, the PXRD pattern of LaGd2Mg3Ag3 was computed for Cu Kα (weighted mean of Kα1 and Kα2).
No peak broadening, texture or thermal motion is included.

Principal peaks in the range 2θ from 15° to 90°, sorted by position:
d (Å), two_theta, I_rel
3.873, 22.96, 33
3.354, 26.57, 23
2.874, 31.12, 79
2.642, 33.94, 100
2.236, 40.33, 27
2.182, 41.37, 25
2.143, 42.17, 23
1.707, 53.70, 23

Atomic structure:
Cell: 4.2859 13.4199 7.7451 Å, 90.00 90.00 90.00°
Fractional coordinates of all 18 atoms:
1 La 0.0000 0.0434 0.0000
2 La 0.0000 0.9566 0.5000
3 Gd 0.0000 0.2565 0.3770
4 Gd 0.0000 0.4584 0.9994
5 Gd 0.0000 0.5416 0.4994
6 Gd 0.0000 0.7435 0.8770
7 Mg 0.5000 0.1351 0.6690
8 Mg 0.5000 0.2567 0.0354
9 Mg 0.5000 0.3742 0.6700
10 Mg 0.5000 0.6258 0.1700
11 Mg 0.5000 0.7433 0.5354
12 Mg 0.5000 0.8649 0.1690
13 Ag 0.0000 0.2547 0.7891
14 Ag 0.0000 0.7453 0.2891
15 Ag 0.5000 0.0910 0.2946
16 Ag 0.5000 0.4186 0.2934
17 Ag 0.5000 0.5814 0.7934
18 Ag 0.5000 0.9090 0.7946

***

Entry 6:
Starting from a crystal structure in OQMD, relaxed with PBE, the PXRD pattern of LaGdAg2Sb4 was computed for Cu Kα (weighted mean of Kα1 and Kα2).
No peak broadening, texture or thermal motion is included.

Principal peaks in the range 2θ from 15° to 90°, sorted by position:
d (Å), two_theta, I_rel
3.390, 26.29, 12
2.685, 33.37, 100
2.661, 33.68, 14
2.199, 41.05, 34
1.916, 47.44, 8
1.695, 54.10, 14
1.555, 59.44, 11
1.346, 69.91, 23

Atomic structure:
Cell: 4.3980 4.3980 10.6451 Å, 90.00 90.00 90.00°
Fractional coordinates of all 8 atoms:
1 La 0.0000 0.0000 0.0000
2 Gd 0.5000 0.5000 0.4757
3 Ag 0.0000 0.5000 0.7313
4 Ag 0.5000 0.0000 0.7313
5 Sb 0.0000 0.0000 0.5534
6 Sb 0.0000 0.5000 0.2437
7 Sb 0.5000 0.0000 0.2437
8 Sb 0.5000 0.5000 0.9104

***

Entry 7:
Starting from a crystal structure in OQMD, relaxed with PBE, the PXRD pattern of La2GdAg4Sn4 was computed for Cu Kα (weighted mean of Kα1 and Kα2).
No peak broadening, texture or thermal motion is included.

Principal peaks in the range 2θ from 15° to 90°, sorted by position:
d (Å), two_theta, I_rel
2.886, 30.99, 28
2.856, 31.32, 100
2.798, 31.99, 82
2.617, 34.27, 31
2.379, 37.82, 48
2.215, 40.73, 26
2.132, 42.41, 35
1.835, 49.69, 23

Atomic structure:
Cell: 8.9829 8.9829 8.9829 Å, 149.29 131.81 58.24°
Fractional coordinates of all 11 atoms:
1 La 0.1295 0.1295 0.0000
2 La 0.8705 0.8705 0.0000
3 Gd 0.5000 0.0000 0.5000
4 Ag 0.1341 0.3294 0.8047
5 Ag 0.4753 0.6706 0.8047
6 Ag 0.5247 0.3294 0.1953
7 Ag 0.8659 0.6706 0.1953
8 Sn 0.2001 0.5000 0.7001
9 Sn 0.2871 0.7871 0.5000
10 Sn 0.7129 0.2129 0.5000
11 Sn 0.7999 0.5000 0.2999

***

Entry 8:
Starting from a crystal structure in OQMD, relaxed with PBE, the PXRD pattern of GdMgAgO3 was computed for Cu Kα (weighted mean of Kα1 and Kα2).
No peak broadening, texture or thermal motion is included.

Principal peaks in the range 2θ from 15° to 90°, sorted by position:
d (Å), two_theta, I_rel
3.556, 25.05, 100
3.150, 28.34, 25
2.596, 34.56, 77
2.577, 34.82, 33
2.531, 35.46, 76
2.159, 41.84, 26
1.829, 49.87, 40
1.645, 55.89, 47

Atomic structure:
Cell: 6.6781 6.6781 8.5070 Å, 90.00 90.00 151.86°
Fractional coordinates of all 12 atoms:
1 Gd 0.0000 0.0000 0.0000
2 Gd 0.0000 0.0000 0.5000
3 Mg 0.3447 0.6553 0.7500
4 Mg 0.6553 0.3447 0.2500
5 Ag 0.3225 0.6775 0.2500
6 Ag 0.6775 0.3225 0.7500
7 O 0.0507 0.9493 0.7500
8 O 0.1558 0.8442 0.0998
9 O 0.1558 0.8442 0.4002
10 O 0.8442 0.1558 0.5998
11 O 0.8442 0.1558 0.9002
12 O 0.9493 0.0507 0.2500

***

Entry 9:
Starting from a crystal structure in OQMD, relaxed with PBE, the PXRD pattern of GdNbAg2S4 was computed for Cu Kα (weighted mean of Kα1 and Kα2).
No peak broadening, texture or thermal motion is included.

Principal peaks in the range 2θ from 15° to 90°, sorted by position:
d (Å), two_theta, I_rel
3.407, 26.16, 73
3.187, 28.00, 100
3.004, 29.74, 69
2.500, 35.92, 64
2.331, 38.63, 53
2.324, 38.75, 43
2.247, 40.13, 46
1.840, 49.54, 68

Atomic structure:
Cell: 6.3731 6.3731 4.0312 Å, 90.00 90.00 90.31°
Fractional coordinates of all 8 atoms:
1 Gd 0.0000 0.0000 0.0000
2 Nb 0.5000 0.5000 0.5481
3 Ag 0.0000 0.5000 0.7733
4 Ag 0.5000 0.0000 0.7733
5 S 0.2115 0.2115 0.4894
6 S 0.3160 0.6840 0.0527
7 S 0.6840 0.3160 0.0527
8 S 0.7885 0.7885 0.4894

***

Entry 10:
Starting from a crystal structure in OQMD, relaxed with PBE, the PXRD pattern of NdGdAg2 was computed for Cu Kα (weighted mean of Kα1 and Kα2).
No peak broadening, texture or thermal motion is included.

Principal peaks in the range 2θ from 15° to 90°, sorted by position:
d (Å), two_theta, I_rel
2.615, 34.30, 100
1.852, 49.19, 6
1.847, 49.34, 12
1.510, 61.42, 35
1.308, 72.23, 7
1.306, 72.35, 4
1.171, 82.33, 5
1.168, 82.57, 10

Atomic structure:
Cell: 3.6941 3.6941 7.4093 Å, 90.00 90.00 90.00°
Fractional coordinates of all 4 atoms:
1 Nd 0.0000 0.0000 0.0000
2 Gd 0.0000 0.0000 0.5000
3 Ag 0.5000 0.5000 0.2617
4 Ag 0.5000 0.5000 0.7383

***

Entry 11:
Starting from a crystal structure in OQMD, relaxed with PBE, the PXRD pattern of GdYAg2O4 was computed for Cu Kα (weighted mean of Kα1 and Kα2).
No peak broadening, texture or thermal motion is included.

Principal peaks in the range 2θ from 15° to 90°, sorted by position:
d (Å), two_theta, I_rel
3.123, 28.58, 38
2.961, 30.19, 58
2.739, 32.70, 100
1.932, 47.03, 16
1.759, 51.98, 31
1.719, 53.28, 31
1.533, 60.39, 28
1.480, 62.77, 15

Atomic structure:
Cell: 3.5187 3.5187 12.4933 Å, 90.00 90.00 120.00°
Fractional coordinates of all 8 atoms:
1 Gd 0.0000 0.0000 0.0000
2 Y 0.0000 0.0000 0.5000
3 Ag 0.3333 0.6667 0.7491
4 Ag 0.6667 0.3333 0.2509
5 O 0.3333 0.6667 0.5835
6 O 0.3333 0.6667 0.9145
7 O 0.6667 0.3333 0.0855
8 O 0.6667 0.3333 0.4165

***

Entry 12:
Starting from a crystal structure in OQMD, relaxed with PBE, the PXRD pattern of GdAgTe2PbS was computed for Cu Kα (weighted mean of Kα1 and Kα2).
No peak broadening, texture or thermal motion is included.

Principal peaks in the range 2θ from 15° to 90°, sorted by position:
d (Å), two_theta, I_rel
3.253, 27.41, 71
3.107, 28.73, 84
2.998, 29.80, 34
2.764, 32.39, 100
2.682, 33.41, 82
2.620, 34.23, 48
2.207, 40.90, 90
2.184, 41.33, 53

Atomic structure:
Cell: 7.6309 7.6309 10.4794 Å, 90.00 90.00 146.73°
Fractional coordinates of all 12 atoms:
1 Gd 0.0000 0.0000 0.0000
2 Gd 0.0000 0.0000 0.5000
3 Ag 0.4823 0.5177 0.7500
4 Ag 0.5177 0.4823 0.2500
5 Te 0.3504 0.6496 0.5555
6 Te 0.3504 0.6496 0.9445
7 Te 0.6496 0.3504 0.0555
8 Te 0.6496 0.3504 0.4445
9 Pb 0.2680 0.7320 0.2500
10 Pb 0.7320 0.2680 0.7500
11 S 0.0771 0.9229 0.7500
12 S 0.9229 0.0771 0.2500

***

Entry 13:
Starting from a crystal structure in OQMD, relaxed with PBE, the PXRD pattern of GdTmAg2Pb2 was computed for Cu Kα (weighted mean of Kα1 and Kα2).
No peak broadening, texture or thermal motion is included.

Principal peaks in the range 2θ from 15° to 90°, sorted by position:
d (Å), two_theta, I_rel
3.634, 24.49, 27
2.775, 32.26, 100
2.405, 37.40, 89
2.131, 42.41, 26
1.817, 50.20, 29
1.472, 63.18, 16
1.450, 64.25, 28
1.388, 67.47, 17

Atomic structure:
Cell: 4.8091 4.8091 7.4429 Å, 90.00 90.00 120.00°
Fractional coordinates of all 6 atoms:
1 Gd 0.0000 0.0000 0.0000
2 Tm 0.0000 0.0000 0.5013
3 Ag 0.3333 0.6667 0.6814
4 Ag 0.6667 0.3333 0.1886
5 Pb 0.3333 0.6667 0.2819
6 Pb 0.6667 0.3333 0.7774